(1)
Starting from a structure optimized by DFT (PBE), the X-ray diffraction stick pattern of Sm2MgU2Ru5 was simulated for CuKα.
Intensities are scaled so that the largest is 100.

Atomic structure:
```
data_Sm2MgU2Ru5
_cell_length_a 10.946
_cell_length_b 10.946
_cell_length_c 3.291
_cell_angle_alpha 90.00
_cell_angle_beta 90.00
_cell_angle_gamma 90.00
_symmetry_space_group_name_H-M 'P 4/m b m'
_symmetry_Int_Tables_number 127
_symmetry_space_group_name_Hall '-P 4 2ab'
loop_
_atom_site_label
_atom_site_fract_x
_atom_site_fract_y
_atom_site_fract_z
Sm1 0.161 0.339 0.000
Mg1 0.000 0.000 0.000
U1 0.154 0.654 0.000
Ru1 0.000 0.500 0.500
Ru2 0.057 0.796 0.500
```

Peak list (8 most intense, 10 to 90 degrees two-theta, sorted by position)
d (Å), 2theta, I (rel.), (hkl)
7.740, 11.4, 38, 1 1 0
4.895, 18.1, 31, 2 1 0
2.820, 31.7, 22, 2 0 1
2.580, 34.8, 65, 3 3 0
2.385, 37.7, 100, 3 1 1
2.104, 43.0, 41, 4 0 1
2.031, 44.6, 20, 3 3 1
1.387, 67.5, 19, 3 3 2

(2)
Starting from a structure optimized by DFT (PBE), the X-ray diffraction stick pattern of CdIn2Sn3 was simulated for CuKα.
Intensities are scaled so that the largest is 100.

Atomic structure:
```
data_CdIn2Sn3
_cell_length_a 6.402
_cell_length_b 10.434
_cell_length_c 10.121
_cell_angle_alpha 90.00
_cell_angle_beta 107.52
_cell_angle_gamma 90.00
_symmetry_space_group_name_H-M 'C 1 2/c 1'
_symmetry_Int_Tables_number 15
loop_
_symmetry_equiv_pos_as_xyz
'x,y,z'
'-x,-y,-z'
'-x,y,-z+1/2'
'x,-y,z+1/2'
'x+1/2,y+1/2,z'
'-x+1/2,-y+1/2,-z'
'-x+1/2,y+1/2,-z+1/2'
'x+1/2,-y+1/2,z+1/2'
loop_
_atom_site_label
_atom_site_fract_x
_atom_site_fract_y
_atom_site_fract_z
Cd1 0.000 0.125 0.250
In1 0.162 0.125 0.575
Sn1 0.000 0.376 0.750
Sn2 0.170 0.377 0.090
```

Peak list (8 most intense, 10 to 90 degrees two-theta, sorted by position)
d (Å), 2theta, I (rel.), (hkl)
2.738, 32.7, 100, 0 2 3
2.728, 32.8, 100, 2 2 -1
2.609, 34.4, 44, 0 4 0
2.287, 39.4, 30, 2 0 2
2.251, 40.1, 29, 2 0 -4
1.720, 53.3, 25, 2 4 2
1.704, 53.8, 24, 2 4 -4
1.529, 60.6, 34, 2 6 -1

(3)
Starting from a structure optimized by DFT (PBE), the X-ray diffraction stick pattern of Na3ScCl6 was simulated for CuKα.
Intensities are scaled so that the largest is 100.

Atomic structure:
```
data_Na3ScCl6
_cell_length_a 6.786
_cell_length_b 7.208
_cell_length_c 12.078
_cell_angle_alpha 90.00
_cell_angle_beta 123.87
_cell_angle_gamma 90.00
_symmetry_space_group_name_H-M 'P 1 21/c 1'
_symmetry_Int_Tables_number 14
loop_
_symmetry_equiv_pos_as_xyz
'x,y,z'
'-x,-y,-z'
'-x,y+1/2,-z+1/2'
'x,-y+1/2,z+1/2'
loop_
_atom_site_label
_atom_site_fract_x
_atom_site_fract_y
_atom_site_fract_z
Na1 0.000 0.000 0.000
Na2 0.212 0.080 0.742
Sc1 0.500 0.000 0.500
Cl1 0.138 0.180 0.437
Cl2 0.254 0.709 0.422
Cl3 0.407 0.057 0.270
```

Peak list (8 most intense, 10 to 90 degrees two-theta, sorted by position)
d (Å), 2theta, I (rel.), (hkl)
3.070, 29.1, 79, 2 1 -2
3.034, 29.4, 74, 1 2 0
3.005, 29.7, 76, 1 0 2
2.992, 29.9, 86, 1 0 -4
2.936, 30.4, 100, 2 1 -1
2.688, 33.3, 79, 1 2 1
2.470, 36.4, 77, 2 2 -2
1.986, 45.7, 67, 3 1 -1

(4)
Starting from a structure optimized by DFT (PBE), the X-ray diffraction stick pattern of Pm7Dy12Tl was simulated for CuKα.
Intensities are scaled so that the largest is 100.

Atomic structure:
```
data_Pm7Dy12Tl
_cell_length_a 8.757
_cell_length_b 8.764
_cell_length_c 8.766
_cell_angle_alpha 89.20
_cell_angle_beta 89.31
_cell_angle_gamma 89.17
_symmetry_space_group_name_H-M 'P -1'
_symmetry_Int_Tables_number 2
loop_
_symmetry_equiv_pos_as_xyz
'x,y,z'
'-x,-y,-z'
loop_
_atom_site_label
_atom_site_fract_x
_atom_site_fract_y
_atom_site_fract_z
Pm1 0.000 0.000 0.000
Pm2 0.123 0.715 0.267
Pm3 0.266 0.122 0.715
Pm4 0.285 0.734 0.878
Dy1 0.037 0.159 0.377
Dy2 0.159 0.378 0.036
Dy3 0.165 0.495 0.613
Dy4 0.378 0.037 0.159
Dy5 0.388 0.835 0.505
Dy6 0.495 0.612 0.165
Tl1 0.500 0.500 0.500
```

Peak list (8 most intense, 10 to 90 degrees two-theta, sorted by position)
d (Å), 2theta, I (rel.), (hkl)
2.955, 30.2, 25, 2 2 1
2.920, 30.6, 25, -1 2 2
2.903, 30.8, 100, 1 -2 2
2.782, 32.2, 70, 1 0 3
2.759, 32.4, 52, 1 0 -3
2.664, 33.6, 28, 3 1 1
1.723, 53.2, 17, -1 3 4
1.708, 53.7, 17, 1 3 -4

(5)
Starting from a structure optimized by DFT (PBE), the X-ray diffraction stick pattern of Nd3Ga2SiRu3 was simulated for CuKα.
Intensities are scaled so that the largest is 100.

Atomic structure:
```
data_Nd3Ga2SiRu3
_cell_length_a 7.5823
_cell_length_b 7.5823
_cell_length_c 3.6054
_cell_angle_alpha 90.00
_cell_angle_beta 90.00
_cell_angle_gamma 120.00
_symmetry_space_group_name_H-M 'P -6 2 m'
_symmetry_Int_Tables_number 189
_symmetry_space_group_name_Hall 'P -6 -2'
loop_
_atom_site_label
_atom_site_fract_x
_atom_site_fract_y
_atom_site_fract_z
Nd1 0.0000 0.3847 0.0000
Ga1 0.3333 0.6667 0.5000
Si1 0.0000 0.0000 0.0000
Ru1 0.0000 0.7689 0.5000
```

Peak list (8 most intense, 10 to 90 degrees two-theta, sorted by position)
d (Å), 2theta, I (rel.), (hkl)
2.613, 34.3, 100, 1 1 1
2.482, 36.2, 49, 2 1 0
2.428, 37.0, 36, 2 0 1
2.189, 41.2, 25, 3 0 0
2.044, 44.3, 15, 2 1 1
1.626, 56.6, 19, 3 1 1
1.459, 63.8, 18, 2 1 2
1.391, 67.3, 27, 3 0 2

(6)
Starting from a structure optimized by DFT (PBE), the X-ray diffraction stick pattern of CdHgF3 was simulated for CuKα.
Intensities are scaled so that the largest is 100.

Atomic structure:
```
data_CdHgF3
_cell_length_a 14.663
_cell_length_b 3.677
_cell_length_c 6.412
_cell_angle_alpha 90.00
_cell_angle_beta 102.83
_cell_angle_gamma 90.00
_symmetry_space_group_name_H-M 'C 1 2/m 1'
_symmetry_Int_Tables_number 12
loop_
_symmetry_equiv_pos_as_xyz
'x,y,z'
'-x,-y,-z'
'-x,y,-z'
'x,-y,z'
'x+1/2,y+1/2,z'
'-x+1/2,-y+1/2,-z'
'-x+1/2,y+1/2,-z'
'x+1/2,-y+1/2,z'
loop_
_atom_site_label
_atom_site_fract_x
_atom_site_fract_y
_atom_site_fract_z
Cd1 0.213 0.000 0.234
Hg1 0.033 0.500 0.707
F1 0.062 0.000 0.189
F2 0.171 0.500 0.973
F3 0.208 0.000 0.612
```

Peak list (8 most intense, 10 to 90 degrees two-theta, sorted by position)
d (Å), 2theta, I (rel.), (hkl)
3.567, 25.0, 100, 4 0 0
3.451, 25.8, 62, 4 0 -1
3.170, 28.1, 65, 1 1 -1
3.126, 28.6, 61, 0 0 2
2.911, 30.7, 65, 3 1 0
2.253, 40.0, 36, 5 1 -1
1.999, 45.4, 41, 3 1 2
1.844, 49.4, 35, 1 1 -3

(7)
Starting from a structure optimized by DFT (PBE), the X-ray diffraction stick pattern of CaAl3Ga3 was simulated for CuKα.
Intensities are scaled so that the largest is 100.

Atomic structure:
```
data_CaAl3Ga3
_cell_length_a 8.204
_cell_length_b 8.204
_cell_length_c 8.204
_cell_angle_alpha 90.00
_cell_angle_beta 90.00
_cell_angle_gamma 90.00
_symmetry_space_group_name_H-M 'P 21 3'
_symmetry_Int_Tables_number 198
_symmetry_space_group_name_Hall 'P 2ac 2ab 3'
loop_
_atom_site_label
_atom_site_fract_x
_atom_site_fract_y
_atom_site_fract_z
Ca1 0.028 0.472 0.528
Al1 0.130 0.630 0.870
Al2 0.130 0.870 0.370
Al3 0.188 0.188 0.188
Ga1 0.088 0.314 0.879
```

Peak list (8 most intense, 10 to 90 degrees two-theta, sorted by position)
d (Å), 2theta, I (rel.), (hkl)
4.736, 18.7, 33, 1 1 1
3.349, 26.6, 24, 2 1 1
2.594, 34.6, 49, 3 1 0
2.474, 36.3, 100, 3 1 1
2.368, 38.0, 38, 2 2 2
2.275, 39.6, 59, 3 2 0
1.990, 45.6, 27, 3 2 2
1.498, 62.0, 28, 5 1 2

(8)
Starting from a structure optimized by DFT (PBE), the X-ray diffraction stick pattern of Y2HoIn2 was simulated for CuKα.
Intensities are scaled so that the largest is 100.

Atomic structure:
```
data_Y2HoIn2
_cell_length_a 5.381
_cell_length_b 16.006
_cell_length_c 6.503
_cell_angle_alpha 90.00
_cell_angle_beta 90.00
_cell_angle_gamma 90.00
_symmetry_space_group_name_H-M 'C m c 21'
_symmetry_Int_Tables_number 36
loop_
_symmetry_equiv_pos_as_xyz
'x,y,z'
'-x,-y,z+1/2'
'-x,y,z'
'x,-y,z+1/2'
'x+1/2,y+1/2,z'
'-x+1/2,-y+1/2,z+1/2'
'-x+1/2,y+1/2,z'
'x+1/2,-y+1/2,z+1/2'
loop_
_atom_site_label
_atom_site_fract_x
_atom_site_fract_y
_atom_site_fract_z
Y1 0.000 0.028 0.000
Y2 0.000 0.197 0.438
Ho1 0.000 0.402 0.203
In1 0.000 0.215 0.926
In2 0.000 0.399 0.718
```

Peak list (8 most intense, 10 to 90 degrees two-theta, sorted by position)
d (Å), 2theta, I (rel.), (hkl)
3.012, 29.7, 20, 0 2 2
2.751, 32.5, 100, 1 5 0
2.742, 32.7, 89, 1 1 2
2.690, 33.3, 55, 2 0 0
2.523, 35.6, 38, 0 4 2
2.467, 36.4, 19, 1 3 2
1.840, 49.5, 30, 2 4 2
1.564, 59.1, 33, 3 5 0

(9)
Starting from a structure optimized by DFT (PBE), the X-ray diffraction stick pattern of Mg6CdPt was simulated for CuKα.
Intensities are scaled so that the largest is 100.

Atomic structure:
```
data_Mg6CdPt
_cell_length_a 6.380
_cell_length_b 10.665
_cell_length_c 6.141
_cell_angle_alpha 90.00
_cell_angle_beta 117.64
_cell_angle_gamma 90.00
_symmetry_space_group_name_H-M 'C 1 2/m 1'
_symmetry_Int_Tables_number 12
loop_
_symmetry_equiv_pos_as_xyz
'x,y,z'
'-x,-y,-z'
'-x,y,-z'
'x,-y,z'
'x+1/2,y+1/2,z'
'-x+1/2,-y+1/2,-z'
'-x+1/2,y+1/2,-z'
'x+1/2,-y+1/2,z'
loop_
_atom_site_label
_atom_site_fract_x
_atom_site_fract_y
_atom_site_fract_z
Mg1 0.222 0.207 0.243
Mg2 0.239 0.000 0.766
Cd1 0.000 0.500 0.500
Pt1 0.000 0.000 0.000
```

Peak list (8 most intense, 10 to 90 degrees two-theta, sorted by position)
d (Å), 2theta, I (rel.), (hkl)
5.333, 16.6, 58, 0 2 0
4.783, 18.6, 100, 1 1 -1
3.100, 28.8, 48, 1 1 1
2.676, 33.5, 30, 2 0 -2
2.666, 33.6, 24, 0 4 0
2.497, 36.0, 28, 2 2 0
2.423, 37.1, 26, 0 2 2
2.394, 37.6, 57, 1 3 1

(10)
Starting from a structure optimized by DFT (PBE), the X-ray diffraction stick pattern of Ce2CdHg12 was simulated for CuKα.
Intensities are scaled so that the largest is 100.

Atomic structure:
```
data_Ce2CdHg12
_cell_length_a 7.030
_cell_length_b 7.030
_cell_length_c 16.718
_cell_angle_alpha 90.00
_cell_angle_beta 90.00
_cell_angle_gamma 90.00
_symmetry_space_group_name_H-M 'P 4/n b m'
_symmetry_Int_Tables_number 125
loop_
_symmetry_equiv_pos_as_xyz
'x,y,z'
'-x,-y,-z'
'-y+1/2,x,z'
'y+1/2,-x,-z'
'-x+1/2,-y+1/2,z'
'x+1/2,y+1/2,-z'
'y,-x+1/2,z'
'-y,x+1/2,-z'
'x,-y+1/2,-z'
'-x,y+1/2,z'
'-y+1/2,-x+1/2,-z'
'y+1/2,x+1/2,z'
'-x+1/2,y,-z'
'x+1/2,-y,z'
'y,x,-z'
'-y,-x,z'
loop_
_atom_site_label
_atom_site_fract_x
_atom_site_fract_y
_atom_site_fract_z
Ce1 0.250 0.750 0.236
Cd1 0.250 0.750 0.000
Hg1 0.000 0.000 0.096
Hg2 0.099 0.599 0.427
Hg3 0.250 0.250 0.194
Hg4 0.250 0.250 0.361
```

Peak list (8 most intense, 10 to 90 degrees two-theta, sorted by position)
d (Å), 2theta, I (rel.), (hkl)
3.240, 27.5, 89, 2 0 2
3.199, 27.9, 34, 1 1 4
2.943, 30.4, 34, 2 1 2
2.738, 32.7, 45, 2 1 3
2.486, 36.1, 100, 2 2 0
2.423, 37.1, 83, 2 0 5
2.184, 41.3, 48, 2 0 6
1.423, 65.6, 47, 4 2 5

(11)
Starting from a structure optimized by DFT (PBE), the X-ray diffraction stick pattern of Sn4BiTe5 was simulated for CuKα.
Intensities are scaled so that the largest is 100.

Atomic structure:
```
data_Sn4BiTe5
_cell_length_a 10.161
_cell_length_b 10.161
_cell_length_c 6.409
_cell_angle_alpha 90.00
_cell_angle_beta 90.00
_cell_angle_gamma 90.00
_symmetry_space_group_name_H-M 'I 4'
_symmetry_Int_Tables_number 79
loop_
_symmetry_equiv_pos_as_xyz
'x,y,z'
'-y,x,z'
'-x,-y,z'
'y,-x,z'
'x+1/2,y+1/2,z+1/2'
'-y+1/2,x+1/2,z+1/2'
'-x+1/2,-y+1/2,z+1/2'
'y+1/2,-x+1/2,z+1/2'
loop_
_atom_site_label
_atom_site_fract_x
_atom_site_fract_y
_atom_site_fract_z
Sn1 0.101 0.302 0.000
Bi1 0.000 0.000 0.502
Te1 0.000 0.000 0.002
Te2 0.100 0.302 0.507
```

Peak list (8 most intense, 10 to 90 degrees two-theta, sorted by position)
d (Å), 2theta, I (rel.), (hkl)
3.210, 27.8, 100, 1 3 0
2.270, 39.7, 78, 4 2 0
1.853, 49.2, 28, 4 2 2
1.607, 57.4, 9, 2 6 0
1.437, 64.9, 25, 7 1 0
1.434, 65.0, 12, 1 3 4
1.311, 72.0, 18, 7 1 2
1.309, 72.1, 9, 4 2 4

(12)
Starting from a structure optimized by DFT (PBE), the X-ray diffraction stick pattern of Zn3GaAgS5 was simulated for CuKα.
Intensities are scaled so that the largest is 100.

Atomic structure:
```
data_Zn3GaAgS5
_cell_length_a 6.399
_cell_length_b 6.733
_cell_length_c 10.292
_cell_angle_alpha 109.03
_cell_angle_beta 90.00
_cell_angle_gamma 90.02
_symmetry_space_group_name_H-M 'P 1'
_symmetry_Int_Tables_number 1
loop_
_symmetry_equiv_pos_as_xyz
'x,y,z'
loop_
_atom_site_label
_atom_site_fract_x
_atom_site_fract_y
_atom_site_fract_z
Zn1 0.000 0.000 0.000
Zn2 0.001 0.378 0.792
Zn3 0.003 0.189 0.395
Zn4 0.493 0.116 0.596
Zn5 0.498 0.517 0.391
Zn6 0.510 0.936 0.201
Ga1 0.001 0.783 0.598
Ga2 0.500 0.319 0.996
Ag1 0.006 0.594 0.198
Ag2 0.507 0.725 0.797
S1 0.361 0.785 0.581
S2 0.369 0.010 0.010
S3 0.370 0.368 0.799
S4 0.373 0.192 0.401
S5 0.403 0.591 0.190
S6 0.861 0.314 0.983
S7 0.868 0.523 0.413
S8 0.871 0.108 0.593
S9 0.872 0.948 0.197
S10 0.904 0.720 0.797
```

Peak list (8 most intense, 10 to 90 degrees two-theta, sorted by position)
d (Å), 2theta, I (rel.), (hkl)
3.368, 26.5, 79, 0 2 -1
3.199, 27.9, 52, 2 0 0
2.981, 30.0, 100, 1 1 -3
2.320, 38.8, 31, 2 -2 1
1.945, 46.7, 61, 0 3 -4
1.802, 50.7, 63, 3 -1 3
1.662, 55.3, 42, 2 -3 4
1.322, 71.4, 21, 3 -4 2